No. 1
# Ho2BePd
Simulated PXRD pattern, Cu Kα X-rays. Input: DFT lattice parameters and positions (GGA-PBE).

a b c (Å): 6.9169 6.9169 6.9169
angles (deg): 90.00 90.00 90.00
Positions (direct):
Ho: 0.2500 0.2500 0.2500
Ho: 0.2500 0.2500 0.7500
Ho: 0.2500 0.7500 0.2500
Ho: 0.2500 0.7500 0.7500
Ho: 0.7500 0.2500 0.2500
Ho: 0.7500 0.2500 0.7500
Ho: 0.7500 0.7500 0.2500
Ho: 0.7500 0.7500 0.7500
Be: 0.0000 0.0000 0.0000
Be: 0.0000 0.5000 0.5000
Be: 0.5000 0.0000 0.5000
Be: 0.5000 0.5000 0.0000
Pd: 0.0000 0.0000 0.5000
Pd: 0.0000 0.5000 0.0000
Pd: 0.5000 0.0000 0.0000
Pd: 0.5000 0.5000 0.5000

The 8 most intense peaks (15 to 90 degrees two-theta), in order of rising 2θ:
2θ/deg, d/Å, I_rel
22.3, 3.993, 13
25.8, 3.458, 28
36.8, 2.445, 100
53.0, 1.729, 18
59.8, 1.547, 12
66.2, 1.412, 36
78.2, 1.223, 11
89.6, 1.094, 16

=====

No. 2
# UFeCo
Simulated PXRD pattern, Cu Kα X-rays. Input: DFT lattice parameters and positions (GGA-PBE).

a b c (Å): 4.8620 4.8699 7.0188
angles (deg): 90.00 90.00 90.00
Positions (direct):
U: 0.0000 0.2500 0.1296
U: 0.0000 0.7500 0.8704
U: 0.5000 0.2500 0.3704
U: 0.5000 0.7500 0.6296
Fe: 0.0000 0.0000 0.5000
Fe: 0.0000 0.5000 0.5000
Fe: 0.5000 0.0000 0.0000
Fe: 0.5000 0.5000 0.0000
Co: 0.2500 0.2500 0.7500
Co: 0.2500 0.7500 0.2500
Co: 0.7500 0.2500 0.7500
Co: 0.7500 0.7500 0.2500

The 8 most intense peaks (15 to 90 degrees two-theta), in order of rising 2θ:
2θ/deg, d/Å, I_rel
22.2, 3.999, 55
36.6, 2.457, 86
36.9, 2.433, 42
42.9, 2.109, 52
43.5, 2.078, 100
66.3, 1.409, 32
71.1, 1.325, 24
77.7, 1.228, 22

=====

No. 3
# MnGaSe3
Simulated PXRD pattern, Cu Kα X-rays. Input: DFT lattice parameters and positions (GGA-PBE).

a b c (Å): 10.5042 10.5042 6.2692
angles (deg): 90.00 90.00 159.06
Positions (direct):
Mn: 0.1732 0.8268 0.5000
Mn: 0.8268 0.1732 0.0000
Ga: 0.3730 0.6270 0.4302
Ga: 0.6270 0.3730 0.9302
Se: 0.0730 0.9270 0.7649
Se: 0.2702 0.7298 0.2244
Se: 0.3846 0.6154 0.8114
Se: 0.6154 0.3846 0.3114
Se: 0.7298 0.2702 0.7244
Se: 0.9270 0.0730 0.2649

The 8 most intense peaks (15 to 90 degrees two-theta), in order of rising 2θ:
2θ/deg, d/Å, I_rel
17.2, 5.165, 41
29.6, 3.018, 27
30.3, 2.947, 100
33.4, 2.680, 23
38.9, 2.318, 29
46.1, 1.967, 35
47.6, 1.909, 26
51.6, 1.771, 29

=====

No. 4
# LaEuAsCl
Simulated PXRD pattern, Cu Kα X-rays. Input: DFT lattice parameters and positions (GGA-PBE).

a b c (Å): 7.3886 7.3886 7.3886
angles (deg): 90.00 90.00 90.00
Positions (direct):
La: 0.0000 0.0000 0.0000
La: 0.0000 0.5000 0.5000
La: 0.5000 0.0000 0.5000
La: 0.5000 0.5000 0.0000
Eu: 0.0000 0.0000 0.5000
Eu: 0.0000 0.5000 0.0000
Eu: 0.5000 0.0000 0.0000
Eu: 0.5000 0.5000 0.5000
As: 0.2500 0.2500 0.2500
As: 0.2500 0.7500 0.7500
As: 0.7500 0.2500 0.7500
As: 0.7500 0.7500 0.2500
Cl: 0.2500 0.2500 0.7500
Cl: 0.2500 0.7500 0.2500
Cl: 0.7500 0.2500 0.2500
Cl: 0.7500 0.7500 0.7500

The 8 most intense peaks (15 to 90 degrees two-theta), in order of rising 2θ:
2θ/deg, d/Å, I_rel
24.1, 3.694, 23
34.3, 2.612, 100
42.4, 2.133, 7
49.3, 1.847, 18
55.6, 1.652, 10
61.5, 1.508, 36
72.3, 1.306, 11
82.6, 1.168, 16

=====

No. 5
# Sb3Pd4Se
Simulated PXRD pattern, Cu Kα X-rays. Input: DFT lattice parameters and positions (GGA-PBE).

a b c (Å): 4.9850 9.1273 8.0902
angles (deg): 90.00 90.00 90.00
Positions (direct):
Sb: 0.2500 0.0007 0.2307
Sb: 0.2500 0.4993 0.2307
Sb: 0.2500 0.7500 0.7357
Sb: 0.7500 0.2500 0.2643
Sb: 0.7500 0.5007 0.7693
Sb: 0.7500 0.9993 0.7693
Pd: 0.2500 0.0047 0.9019
Pd: 0.2500 0.2500 0.4137
Pd: 0.2500 0.4953 0.9019
Pd: 0.2500 0.7500 0.4009
Pd: 0.7500 0.2500 0.5991
Pd: 0.7500 0.5047 0.0981
Pd: 0.7500 0.7500 0.5863
Pd: 0.7500 0.9953 0.0981
Se: 0.2500 0.2500 0.7259
Se: 0.7500 0.7500 0.2741

The 8 most intense peaks (15 to 90 degrees two-theta), in order of rising 2θ:
2θ/deg, d/Å, I_rel
22.4, 3.975, 69
28.4, 3.141, 20
36.0, 2.492, 45
39.5, 2.282, 35
42.8, 2.112, 24
43.0, 2.105, 100
54.5, 1.683, 27
69.6, 1.351, 23

=====

No. 6
# Ho4ErTh
Simulated PXRD pattern, Cu Kα X-rays. Input: DFT lattice parameters and positions (GGA-PBE).

a b c (Å): 3.5441 6.1098 9.3265
angles (deg): 77.45 79.14 73.28
Positions (direct):
Ho: 0.1660 0.4983 0.1694
Ho: 0.1666 0.0046 0.6639
Ho: 0.8334 0.9954 0.3361
Ho: 0.8340 0.5017 0.8306
Er: 0.5000 0.0000 0.0000
Th: 0.5000 0.5000 0.5000

The 8 most intense peaks (15 to 90 degrees two-theta), in order of rising 2θ:
2θ/deg, d/Å, I_rel
31.0, 2.889, 100
31.1, 2.880, 99
35.9, 2.500, 67
36.0, 2.494, 33
51.8, 1.766, 36
51.8, 1.764, 24
61.5, 1.507, 29
61.6, 1.505, 28

=====

No. 7
# NaGa3Cu
Simulated PXRD pattern, Cu Kα X-rays. Input: DFT lattice parameters and positions (GGA-PBE).

a b c (Å): 8.0504 5.4880 8.8067
angles (deg): 90.00 104.76 90.00
Positions (direct):
Na: 0.1277 0.0986 0.2110
Na: 0.1277 0.4014 0.7110
Na: 0.8723 0.5986 0.2890
Na: 0.8723 0.9014 0.7890
Ga: 0.1478 0.6058 0.0557
Ga: 0.1478 0.8942 0.5557
Ga: 0.2931 0.5972 0.3710
Ga: 0.2931 0.9028 0.8710
Ga: 0.3962 0.1891 0.5393
Ga: 0.3962 0.3109 0.0393
Ga: 0.6038 0.6891 0.9607
Ga: 0.6038 0.8109 0.4607
Ga: 0.7069 0.0972 0.1290
Ga: 0.7069 0.4028 0.6290
Ga: 0.8522 0.1058 0.4443
Ga: 0.8522 0.3942 0.9443
Cu: 0.4593 0.7176 0.6757
Cu: 0.4593 0.7824 0.1757
Cu: 0.5407 0.2176 0.8243
Cu: 0.5407 0.2824 0.3243

The 8 most intense peaks (15 to 90 degrees two-theta), in order of rising 2θ:
2θ/deg, d/Å, I_rel
21.0, 4.233, 43
34.7, 2.589, 34
35.6, 2.520, 61
38.7, 2.324, 64
40.0, 2.252, 100
44.3, 2.043, 51
46.1, 1.970, 40
46.1, 1.967, 25

=====

No. 8
# AlNi2BPt
Simulated PXRD pattern, Cu Kα X-rays. Input: DFT lattice parameters and positions (GGA-PBE).

a b c (Å): 3.8601 3.8601 4.1237
angles (deg): 90.00 90.00 90.00
Positions (direct):
Al: 0.0000 0.0000 0.0000
Ni: 0.0000 0.5000 0.4983
Ni: 0.5000 0.0000 0.4983
B: 0.5000 0.5000 0.5037
Pt: 0.5000 0.5000 0.0029

The 8 most intense peaks (15 to 90 degrees two-theta), in order of rising 2θ:
2θ/deg, d/Å, I_rel
23.0, 3.860, 52
31.8, 2.818, 38
39.6, 2.276, 100
43.9, 2.062, 20
47.1, 1.930, 33
66.3, 1.409, 23
77.8, 1.228, 17
82.4, 1.170, 23